# 1
# TeMo2Se2S
Calculated powder X-ray diffraction pattern, CuKα. Input: DFT lattice parameters and positions (GGA-PBE).
Kinematic intensities with the Lorentz-polarization factor, no thermal factor.

Structural model:
```
data_TeMo2Se2S
_chemical_formula_sum 'Te2 Mo4 Se4 S2'
_symmetry_space_group_name_H-M 'P 3 m 1'
_symmetry_Int_Tables_number 156
_cell_length_a 3.3450
_cell_length_b 3.3450
_cell_length_c 38.0338
_cell_angle_alpha 90.00
_cell_angle_beta 90.00
_cell_angle_gamma 120.00
loop_
_symmetry_equiv_pos_as_xyz
'x,y,z'
'-y,x-y,z'
'-x+y,-x,z'
'-y,-x,z'
'-x+y,y,z'
'x,x-y,z'
loop_
_atom_site_label
_atom_site_fract_x
_atom_site_fract_y
_atom_site_fract_z
_atom_site_occupancy
Te1 0.0000 0.0000 0.0000 1
Te2 0.0000 0.0000 0.0997 1
Mo1 0.0000 0.0000 0.4862 1
Mo2 0.0000 0.0000 0.8619 1
Mo3 0.3333 0.6667 0.0499 1
Mo4 0.3333 0.6667 0.6741 1
Se1 0.0000 0.0000 0.6302 1
Se2 0.0000 0.0000 0.7179 1
Se3 0.3333 0.6667 0.8181 1
Se4 0.3333 0.6667 0.9058 1
S1 0.3333 0.6667 0.4463 1
S2 0.3333 0.6667 0.5261 1
```

Largest 12 diffraction maxima, by angle, 2θ from 10° to 90°:
Position (°2θ)	d (Å)	intensity	h k l
11.63	7.607	100	0 0 5
13.97	6.339	16	0 0 6
30.89	2.895	54	1 0 0
33.09	2.707	13	1 0 5
36.32	2.474	97	1 0 8
37.65	2.389	14	0 1 9
43.99	2.058	58	0 1 13
45.79	1.982	20	1 0 14
54.91	1.672	38	1 1 0
67.61	1.386	15	2 0 8
72.87	1.298	13	2 0 13
77.71	1.229	17	1 1 21

***

# 2
# Te2Mo2SeS
Calculated powder X-ray diffraction pattern, CuKα. Input: DFT lattice parameters and positions (GGA-PBE).
Kinematic intensities with the Lorentz-polarization factor, no thermal factor.

Structural model:
```
data_Te2Mo2SeS
_chemical_formula_sum 'Te4 Mo4 Se2 S2'
_symmetry_space_group_name_H-M 'P 3 m 1'
_symmetry_Int_Tables_number 156
_cell_length_a 3.3979
_cell_length_b 3.3979
_cell_length_c 38.6255
_cell_angle_alpha 90.00
_cell_angle_beta 90.00
_cell_angle_gamma 120.00
loop_
_symmetry_equiv_pos_as_xyz
'x,y,z'
'-y,x-y,z'
'-x+y,-x,z'
'-y,-x,z'
'-x+y,y,z'
'x,x-y,z'
loop_
_atom_site_label
_atom_site_fract_x
_atom_site_fract_y
_atom_site_fract_z
_atom_site_occupancy
Te1 0.0000 0.0000 0.0000 1
Te2 0.0000 0.0000 0.0969 1
Te3 0.3333 0.6667 0.4363 1
Te4 0.3333 0.6667 0.5333 1
Mo1 0.0000 0.0000 0.4848 1
Mo2 0.0000 0.0000 0.8606 1
Mo3 0.3333 0.6667 0.0484 1
Mo4 0.3333 0.6667 0.6727 1
Se1 0.3333 0.6667 0.8179 1
Se2 0.3333 0.6667 0.9032 1
S1 0.0000 0.0000 0.6338 1
S2 0.0000 0.0000 0.7115 1
```

Largest 12 diffraction maxima, by angle, 2θ from 10° to 90°:
Position (°2θ)	d (Å)	intensity	h k l
11.45	7.725	87	0 0 5
13.76	6.438	13	0 0 6
30.40	2.940	60	1 0 0
30.73	2.909	12	1 0 2
35.73	2.513	100	0 1 8
38.46	2.341	26	0 1 10
39.97	2.255	12	1 0 11
43.27	2.091	56	1 0 13
45.04	2.013	16	0 1 14
53.97	1.699	34	1 1 0
66.43	1.407	16	2 0 8
76.29	1.248	17	1 1 21

***

# 3
# Te2Mo3Se2S2
Calculated powder X-ray diffraction pattern, CuKα. Input: DFT lattice parameters and positions (GGA-PBE).
Kinematic intensities with the Lorentz-polarization factor, no thermal factor.

Structural model:
```
data_Te2Mo3Se2S2
_chemical_formula_sum 'Te2 Mo3 Se2 S2'
_symmetry_space_group_name_H-M 'P 3 m 1'
_symmetry_Int_Tables_number 156
_cell_length_a 3.3497
_cell_length_b 3.3497
_cell_length_c 30.9023
_cell_angle_alpha 90.00
_cell_angle_beta 90.00
_cell_angle_gamma 120.00
loop_
_symmetry_equiv_pos_as_xyz
'x,y,z'
'-y,x-y,z'
'-x+y,-x,z'
'-y,-x,z'
'-x+y,y,z'
'x,x-y,z'
loop_
_atom_site_label
_atom_site_fract_x
_atom_site_fract_y
_atom_site_fract_z
_atom_site_occupancy
Te1 0.0000 0.0000 0.0000 1
Te2 0.0000 0.0000 0.1224 1
Mo1 0.0000 0.0000 0.8299 1
Mo2 0.6667 0.3333 0.0612 1
Mo3 0.6667 0.3333 0.5986 1
Se1 0.0000 0.0000 0.5448 1
Se2 0.0000 0.0000 0.6524 1
S1 0.6667 0.3333 0.7808 1
S2 0.6667 0.3333 0.8789 1
```

Largest 12 diffraction maxima, by angle, 2θ from 10° to 90°:
Position (°2θ)	d (Å)	intensity	h k l
11.45	7.726	100	0 0 4
14.33	6.180	14	0 0 5
30.82	2.901	48	1 0 0
31.38	2.851	15	1 0 2
32.98	2.716	13	0 1 4
35.52	2.528	54	0 1 6
37.08	2.424	67	1 0 7
40.72	2.216	24	1 0 9
42.75	2.115	21	0 1 10
44.92	2.018	45	0 1 11
54.83	1.674	33	1 1 0
77.49	1.232	15	1 1 17

***

# 4
# TeMo2Se2S
Calculated powder X-ray diffraction pattern, CuKα. Input: DFT lattice parameters and positions (GGA-PBE).
Kinematic intensities with the Lorentz-polarization factor, no thermal factor.

Structural model:
```
data_TeMo2Se2S
_chemical_formula_sum 'Te2 Mo4 Se4 S2'
_symmetry_space_group_name_H-M 'P 3 m 1'
_symmetry_Int_Tables_number 156
_cell_length_a 3.3434
_cell_length_b 3.3434
_cell_length_c 38.0233
_cell_angle_alpha 90.00
_cell_angle_beta 90.00
_cell_angle_gamma 120.00
loop_
_symmetry_equiv_pos_as_xyz
'x,y,z'
'-y,x-y,z'
'-x+y,-x,z'
'-y,-x,z'
'-x+y,y,z'
'x,x-y,z'
loop_
_atom_site_label
_atom_site_fract_x
_atom_site_fract_y
_atom_site_fract_z
_atom_site_occupancy
Te1 0.0000 0.0000 0.0000 1
Te2 0.0000 0.0000 0.0998 1
Mo1 0.0000 0.0000 0.2379 1
Mo2 0.0000 0.0000 0.8621 1
Mo3 0.6667 0.3333 0.0499 1
Mo4 0.6667 0.3333 0.6742 1
Se1 0.0000 0.0000 0.6303 1
Se2 0.0000 0.0000 0.7181 1
Se3 0.6667 0.3333 0.1940 1
Se4 0.6667 0.3333 0.2817 1
S1 0.6667 0.3333 0.8222 1
S2 0.6667 0.3333 0.9019 1
```

Largest 12 diffraction maxima, by angle, 2θ from 10° to 90°:
Position (°2θ)	d (Å)	intensity	h k l
11.64	7.605	100	0 0 5
30.90	2.894	59	1 0 0
33.11	2.706	12	1 0 5
36.33	2.473	100	1 0 8
37.66	2.388	14	0 1 9
39.10	2.304	13	0 1 10
44.01	2.058	58	1 0 13
45.81	1.981	16	0 1 14
54.93	1.671	37	1 1 0
67.65	1.385	16	2 0 8
72.91	1.297	13	0 2 13
77.75	1.228	17	1 1 21